The following is a calculated XRD peak list of Zn2NiPd6. It was derived from DFT lattice parameters and positions (PBE), using Cu Kα (λ = 1.5418 Å).

The 10 most intense peaks (2θ = 5–70°), in order of rising 2θ:
- 32.43 deg, I = 6, hkl 1 1 3
- 33.49 deg, I = 3, hkl 0 4 0
- 40.45 deg, I = 100, hkl 1 3 3
- 44.78 deg, I = 19, hkl 0 0 6
- 44.95 deg, I = 19, hkl 2 0 0
- 51.21 deg, I = 12, hkl 0 6 0
- 57.06 deg, I = 2, hkl 0 4 6
- 57.20 deg, I = 1, hkl 2 4 0
- 65.32 deg, I = 12, hkl 2 0 6
- 69.76 deg, I = 3, hkl 1 7 3

Structural model:
```
data_Zn2NiPd6
_chemical_formula_sum 'Zn8 Ni4 Pd24'
_cell_length_a 4.0333
_cell_length_b 10.7026
_cell_length_c 12.1430
_cell_angle_alpha 90.00
_cell_angle_beta 90.00
_cell_angle_gamma 90.00
_space_group_name_H-M_alt 'F m m m'
_space_group_IT_number 69
_space_group_name_Hall '-F 2 2'
loop_
_atom_site_label
_atom_site_type_symbol
_atom_site_fract_x
_atom_site_fract_y
_atom_site_fract_z
_atom_site_occupancy
Zn1 Zn 0.0000 0.0000 0.1619 1
Ni1 Ni 0.0000 0.0000 0.5000 1
Pd1 Pd 0.0000 0.1566 0.3331 1
Pd2 Pd 0.0000 0.1586 0.0000 1
```

---

The following is a calculated XRD peak list of YTc5. It was derived from DFT lattice parameters and positions (PBE), using Cu Kα (λ = 1.5418 Å).

The 10 most intense peaks (2θ = 5–70°), in order of rising 2θ:
- 15.08 deg, I = 8, hkl 0 0 2
- 38.29 deg, I = 100, hkl 1 1 3
- 43.47 deg, I = 20, hkl 2 0 0
- 43.64 deg, I = 20, hkl 0 2 0
- 46.34 deg, I = 10, hkl 0 0 6
- 49.67 deg, I = 6, hkl 1 1 5
- 63.30 deg, I = 14, hkl 2 2 0
- 63.85 deg, I = 7, hkl 1 1 7
- 65.42 deg, I = 7, hkl 2 0 6
- 65.55 deg, I = 6, hkl 0 2 6

Structural model:
```
data_YTc5
_chemical_formula_sum 'Y2 Tc10'
_cell_length_a 4.1639
_cell_length_b 4.1477
_cell_length_c 11.7530
_cell_angle_alpha 90.00
_cell_angle_beta 90.00
_cell_angle_gamma 90.00
_space_group_name_H-M_alt 'A m m 2'
_space_group_IT_number 38
_space_group_name_Hall 'A 2 -2'
loop_
_atom_site_label
_atom_site_type_symbol
_atom_site_fract_x
_atom_site_fract_y
_atom_site_fract_z
_atom_site_occupancy
Y1 Y 0.0000 0.0000 0.0000 1
Tc1 Tc 0.0000 0.0000 0.3080 1
Tc2 Tc 0.0000 0.0000 0.6877 1
Tc3 Tc 0.5000 0.0000 0.1815 1
Tc4 Tc 0.5000 0.0000 0.4769 1
Tc5 Tc 0.5000 0.0000 0.8110 1
```

---

The following is a calculated XRD peak list of Tm2Re3Si4. It was derived from DFT lattice parameters and positions (PBE), using Cu Kα (λ = 1.5418 Å).

The 10 most intense peaks (2θ = 5–70°), in order of rising 2θ:
- 26.60 deg, I = 36, hkl 1 1 1
- 29.97 deg, I = 100, hkl 0 2 1
- 35.07 deg, I = 28, hkl 2 1 -2
- 37.98 deg, I = 79, hkl 2 2 -1
- 38.30 deg, I = 67, hkl 1 1 2
- 39.03 deg, I = 25, hkl 2 2 0
- 42.34 deg, I = 42, hkl 1 1 -3
- 42.64 deg, I = 35, hkl 0 3 1
- 62.33 deg, I = 24, hkl 2 4 0
- 65.97 deg, I = 30, hkl 3 3 1

Structural model:
```
data_Tm2Re3Si4
_chemical_formula_sum 'Tm4 Re6 Si8'
_cell_length_a 6.7377
_cell_length_b 6.7504
_cell_length_c 6.7504
_cell_angle_alpha 90.00
_cell_angle_beta 110.18
_cell_angle_gamma 90.00
_space_group_name_H-M_alt 'P 1 21/c 1'
_space_group_IT_number 14
_space_group_name_Hall '-P 2ybc'
loop_
_atom_site_label
_atom_site_type_symbol
_atom_site_fract_x
_atom_site_fract_y
_atom_site_fract_z
_atom_site_occupancy
Tm1 Tm 0.1915 0.1692 0.0574 1
Re1 Re 0.2366 0.6473 0.2581 1
Re2 Re 0.5000 0.0000 0.5000 1
Si1 Si 0.1004 0.5509 0.8745 1
Si2 Si 0.4877 0.6404 0.6322 1
```

---

The following is a calculated XRD peak list of Al6Ag. It was derived from DFT lattice parameters and positions (PBE), using Cu Kα (λ = 1.5418 Å).

The 10 most intense peaks (2θ = 5–70°), in order of rising 2θ:
- 13.77 deg, I = 100, hkl 0 0 1
- 20.16 deg, I = 44, hkl 0 1 0
- 27.75 deg, I = 44, hkl 1 0 1
- 37.38 deg, I = 100, hkl 1 0 2
- 38.11 deg, I = 94, hkl -1 1 1
- 38.28 deg, I = 93, hkl 1 1 -2
- 39.71 deg, I = 84, hkl 1 2 1
- 43.96 deg, I = 62, hkl 2 1 0
- 44.83 deg, I = 58, hkl 0 1 3
- 45.03 deg, I = 57, hkl 0 2 -1

Structural model:
```
data_Al6Ag
_chemical_formula_sum 'Al6 Ag1'
_cell_length_a 4.1242
_cell_length_b 4.8057
_cell_length_c 6.4729
_cell_angle_alpha 83.76
_cell_angle_beta 89.81
_cell_angle_gamma 67.37
_space_group_name_H-M_alt 'P -1'
_space_group_IT_number 2
_space_group_name_Hall '-P 1'
loop_
_atom_site_label
_atom_site_type_symbol
_atom_site_fract_x
_atom_site_fract_y
_atom_site_fract_z
_atom_site_occupancy
Al1 Al 0.0701 0.3619 0.2090 1
Al2 Al 0.2172 0.0638 0.6456 1
Al3 Al 0.3563 0.7901 0.0735 1
Ag1 Ag 0.5000 0.5000 0.5000 1
```

---

The following is a calculated XRD peak list of PmTm3Th. It was derived from DFT lattice parameters and positions (PBE), using Cu Kα (λ = 1.5418 Å).

The 10 most intense peaks (2θ = 5–70°), in order of rising 2θ:
- 29.11 deg, I = 29, hkl 1 3 2
- 29.80 deg, I = 30, hkl 0 2 3
- 30.98 deg, I = 43, hkl 3 1 -1
- 32.04 deg, I = 37, hkl 2 4 -1
- 32.25 deg, I = 35, hkl 1 5 0
- 32.65 deg, I = 100, hkl 2 2 2
- 32.92 deg, I = 30, hkl 1 5 -1
- 33.05 deg, I = 17, hkl 3 1 -2
- 36.26 deg, I = 15, hkl 1 1 -4
- 54.16 deg, I = 12, hkl 1 7 3

Structural model:
```
data_PmTm3Th
_chemical_formula_sum 'Pm8 Tm24 Th8'
_cell_length_a 8.8645
_cell_length_b 14.6509
_cell_length_c 10.0810
_cell_angle_alpha 90.00
_cell_angle_beta 102.13
_cell_angle_gamma 90.00
_space_group_name_H-M_alt 'C 1 2/c 1'
_space_group_IT_number 15
_space_group_name_Hall '-C 2yc'
loop_
_atom_site_label
_atom_site_type_symbol
_atom_site_fract_x
_atom_site_fract_y
_atom_site_fract_z
_atom_site_occupancy
Pm1 Pm 0.0000 0.0084 0.2500 1
Pm2 Pm 0.0000 0.3996 0.7500 1
Tm1 Tm 0.0776 0.1884 0.9529 1
Tm2 Tm 0.0910 0.3989 0.1185 1
Tm3 Tm 0.1983 0.2291 0.3271 1
Th1 Th 0.2254 0.0458 0.5412 1
```

---

The following is a calculated XRD peak list of Nb14SnRh. It was derived from DFT lattice parameters and positions (PBE), using Cu Kα (λ = 1.5418 Å).

The 8 most intense peaks (2θ = 5–70°), in order of rising 2θ:
- 38.14 deg, I = 100, hkl 2 2 2
- 38.64 deg, I = 24, hkl 0 4 0
- 39.27 deg, I = 23, hkl 0 0 4
- 53.80 deg, I = 9, hkl 4 0 0
- 56.27 deg, I = 16, hkl 0 4 4
- 68.18 deg, I = 9, hkl 4 4 0
- 68.60 deg, I = 8, hkl 4 0 4
- 69.60 deg, I = 16, hkl 2 6 2

Structural model:
```
data_Nb14SnRh
_chemical_formula_sum 'Nb28 Sn2 Rh2'
_cell_length_a 6.8158
_cell_length_b 9.3203
_cell_length_c 9.1779
_cell_angle_alpha 90.00
_cell_angle_beta 90.00
_cell_angle_gamma 90.00
_space_group_name_H-M_alt 'C m m m'
_space_group_IT_number 65
_space_group_name_Hall '-C 2 2'
loop_
_atom_site_label
_atom_site_type_symbol
_atom_site_fract_x
_atom_site_fract_y
_atom_site_fract_z
_atom_site_occupancy
Nb1 Nb 0.0000 0.0000 0.0000 1
Nb2 Nb 0.0000 0.2447 0.2550 1
Nb3 Nb 0.0000 0.5000 0.0000 1
Nb4 Nb 0.2369 0.5000 0.2483 1
Nb5 Nb 0.2500 0.2500 0.0000 1
Nb6 Nb 0.2500 0.2500 0.5000 1
Sn1 Sn 0.0000 0.0000 0.5000 1
Rh1 Rh 0.0000 0.5000 0.5000 1
```

---

The following is a calculated XRD peak list of Ca5Bi2H. It was derived from DFT lattice parameters and positions (PBE), using Cu Kα (λ = 1.5418 Å).

The 10 most intense peaks (2θ = 5–70°), in order of rising 2θ:
- 17.46 deg, I = 68, hkl 1 1 0
- 18.70 deg, I = 16, hkl 0 0 2
- 24.79 deg, I = 18, hkl 2 0 0
- 25.69 deg, I = 57, hkl 1 1 2
- 31.24 deg, I = 100, hkl 2 0 2
- 35.35 deg, I = 36, hkl 2 2 0
- 39.68 deg, I = 19, hkl 3 1 0
- 44.21 deg, I = 28, hkl 3 1 2
- 52.81 deg, I = 23, hkl 2 2 4
- 60.90 deg, I = 29, hkl 4 2 2

Structural model:
```
data_Ca5Bi2H
_chemical_formula_sum 'Ca10 Bi4 H2'
_cell_length_a 7.1823
_cell_length_b 7.1823
_cell_length_c 9.4895
_cell_angle_alpha 90.00
_cell_angle_beta 90.00
_cell_angle_gamma 90.00
_space_group_name_H-M_alt 'I 4 m m'
_space_group_IT_number 107
_space_group_name_Hall 'I 4 -2'
loop_
_atom_site_label
_atom_site_type_symbol
_atom_site_fract_x
_atom_site_fract_y
_atom_site_fract_z
_atom_site_occupancy
Ca1 Ca 0.0000 0.0000 0.0000 1
Ca2 Ca 0.2494 0.2494 0.2500 1
Bi1 Bi 0.0000 0.5000 0.4991 1
H1 H 0.0000 0.0000 0.7620 1
```

---

The following is a calculated XRD peak list of TeP3. It was derived from DFT lattice parameters and positions (PBE), using Cu Kα (λ = 1.5418 Å).

The 7 most intense peaks (2θ = 5–70°), in order of rising 2θ:
- 23.47 deg, I = 89, hkl 1 1 0
- 33.44 deg, I = 100, hkl 2 0 0
- 41.26 deg, I = 42, hkl 2 1 1
- 48.01 deg, I = 69, hkl 2 2 0
- 54.11 deg, I = 19, hkl 3 1 0
- 59.77 deg, I = 24, hkl 2 2 2
- 65.12 deg, I = 22, hkl 3 2 1

Structural model:
```
data_TeP3
_chemical_formula_sum 'Te2 P6'
_cell_length_a 5.3598
_cell_length_b 5.3598
_cell_length_c 5.3598
_cell_angle_alpha 90.00
_cell_angle_beta 90.00
_cell_angle_gamma 90.00
_space_group_name_H-M_alt 'I m -3 m'
_space_group_IT_number 229
_space_group_name_Hall '-I 4 2 3'
loop_
_atom_site_label
_atom_site_type_symbol
_atom_site_fract_x
_atom_site_fract_y
_atom_site_fract_z
_atom_site_occupancy
Te1 Te 0.0000 0.0000 0.0000 1
P1 P 0.0000 0.0000 0.5000 1
```

---

The following is a calculated XRD peak list of Mn2Fe2Co. It was derived from DFT lattice parameters and positions (PBE), using Cu Kα (λ = 1.5418 Å).

The 4 most intense peaks (2θ = 5–70°), in order of rising 2θ:
- 44.63 deg, I = 100, hkl 0 2 2
- 44.77 deg, I = 99, hkl 1 0 -2
- 52.05 deg, I = 61, hkl 1 2 0
- 52.17 deg, I = 30, hkl 1 -3 0

Structural model:
```
data_Mn2Fe2Co
_chemical_formula_sum 'Mn4 Fe4 Co2'
_cell_length_a 2.4756
_cell_length_b 6.5784
_cell_length_c 7.0329
_cell_angle_alpha 105.56
_cell_angle_beta 90.03
_cell_angle_gamma 100.77
_space_group_name_H-M_alt 'P -1'
_space_group_IT_number 2
_space_group_name_Hall '-P 1'
loop_
_atom_site_label
_atom_site_type_symbol
_atom_site_fract_x
_atom_site_fract_y
_atom_site_fract_z
_atom_site_occupancy
Mn1 Mn 0.0017 0.0033 0.2460 1
Mn2 Mn 0.2042 0.4070 0.8486 1
Fe1 Fe 0.2010 0.3993 0.3481 1
Fe2 Fe 0.4019 0.8033 0.4459 1
Co1 Co 0.3996 0.7977 0.9521 1
```

---

The following is a calculated XRD peak list of MnAl2N3. It was derived from DFT lattice parameters and positions (PBE), using Cu Kα (λ = 1.5418 Å).

The 10 most intense peaks (2θ = 5–70°), in order of rising 2θ:
- 25.79 deg, I = 29, hkl 1 1 1
- 32.24 deg, I = 92, hkl 3 1 0
- 32.51 deg, I = 34, hkl 0 2 0
- 35.95 deg, I = 78, hkl 0 0 2
- 37.04 deg, I = 100, hkl 3 1 1
- 37.28 deg, I = 67, hkl 0 2 1
- 49.05 deg, I = 34, hkl 3 1 2
- 57.31 deg, I = 26, hkl 6 0 0
- 57.83 deg, I = 50, hkl 3 3 0
- 65.34 deg, I = 43, hkl 3 1 3

Structural model:
```
data_MnAl2N3
_chemical_formula_sum 'Mn4 Al8 N12'
_cell_length_a 9.6459
_cell_length_b 5.5080
_cell_length_c 4.9963
_cell_angle_alpha 90.00
_cell_angle_beta 90.00
_cell_angle_gamma 90.00
_space_group_name_H-M_alt 'C m c 21'
_space_group_IT_number 36
_space_group_name_Hall 'C 2c -2'
loop_
_atom_site_label
_atom_site_type_symbol
_atom_site_fract_x
_atom_site_fract_y
_atom_site_fract_z
_atom_site_occupancy
Mn1 Mn 0.0000 0.1576 0.0000 1
Al1 Al 0.1702 0.3387 0.5006 1
N1 N 0.0000 0.1863 0.3849 1
N2 N 0.1736 0.3364 0.8802 1
```